Starting from a PBE-relaxed structure, the powder XRD pattern of HoSnPO was simulated for a wavelength of 1.5418 Å.
Neutral-atom scattering factors, no anomalous dispersion.

The 10 most intense peaks (15° ≤ 2θ ≤ 90°), most intense first:
| two_theta | Rel. int. | index |
| --- | --- | --- |
| 27.81 | 100 | 1 1 1 |
| 23.68 | 33 | 1 1 0 |
| 34.93 | 31 | 1 0 2 |
| 38.71 | 27 | 2 0 0 |
| 31.62 | 26 | 0 2 1 |
| 28.01 | 24 | 0 2 0 |
| 28.99 | 22 | 0 0 2 |
| 47.03 | 21 | 1 3 0 |
| 63.60 | 20 | 1 0 4 |
| 20.05 | 18 | 0 1 1 |

Cell and atoms:
Cell: 4.6522 6.3717 6.1606 Å, 90.00 90.00 90.00°
Fractional positions:
Ho1 0.0000 0.1566 0.0000
Ho2 0.0000 0.8434 0.5000
Sn1 0.5000 0.2868 0.3762
Sn2 0.5000 0.7132 0.8762
P1 0.5000 0.2906 0.7981
P2 0.5000 0.7094 0.2981
O1 0.0000 0.1415 0.3536
O2 0.0000 0.8585 0.8536